Entry 1:
Calculated powder diffractogram
Compound: SrP2S2O9
Radiation: Cu Kα
Structure: a cell relaxed with PBE
Peak positions follow from Bragg's law for the DFT cell and can differ from measured ones.

Main lines, most intense first (2θ = 10–90°):
- 15.8 deg, rel. 100
- 12.0 deg, rel. 84
- 18.4 deg, rel. 74
- 30.6 deg, rel. 71
- 22.0 deg, rel. 71
- 23.8 deg, rel. 65
- 33.2 deg, rel. 53
- 17.5 deg, rel. 49

Crystal structure
a b c (Å): 7.541 8.772 8.872
angles (deg): 61.01 80.82 80.51
Element x y z (fractional)
1 Sr 0.167 0.204 0.281
2 Sr 0.833 0.796 0.719
3 P 0.084 0.763 0.359
4 P 0.178 0.442 0.670
5 P 0.822 0.558 0.330
6 P 0.916 0.237 0.641
7 S 0.188 0.909 0.088
8 S 0.401 0.351 0.771
9 S 0.599 0.649 0.229
10 S 0.812 0.091 0.912
11 O 0.015 0.519 0.743
12 O 0.058 0.890 0.431
13 O 0.096 0.092 0.055
14 O 0.110 0.292 0.632
15 O 0.212 0.592 0.457
16 O 0.418 0.496 0.019
17 O 0.423 0.849 0.694
18 O 0.456 0.222 0.391
19 O 0.498 0.106 0.207
20 O 0.502 0.894 0.793
21 O 0.544 0.778 0.609
22 O 0.577 0.151 0.306
23 O 0.582 0.504 0.981
24 O 0.788 0.408 0.543
25 O 0.890 0.708 0.368
26 O 0.904 0.908 0.945
27 O 0.942 0.110 0.569
28 O 0.985 0.481 0.257



Entry 2:
Calculated powder diffractogram
Compound: YTaP2SO12
Radiation: Cu Kα
Structure: a cell relaxed with PBE
Peak positions follow from Bragg's law for the DFT cell and can differ from measured ones.

Main lines, most intense first (2θ = 10–90°):
- 19.6 deg, rel. 100
- 19.2 deg, rel. 89
- 13.6 deg, rel. 63
- 27.4 deg, rel. 56
- 19.0 deg, rel. 47
- 53.4 deg, rel. 34
- 13.7 deg, rel. 33
- 34.2 deg, rel. 28

Crystal structure
a b c (Å): 9.080 9.080 9.349
angles (deg): 119.74 119.74 59.95
Element x y z (fractional)
1 Y 0.247 0.753 0.500
2 Y 0.753 0.247 0.000
3 Ta 0.477 0.954 0.154
4 Ta 0.954 0.477 0.654
5 P 0.092 0.838 0.833
6 P 0.589 0.654 0.335
7 P 0.654 0.589 0.835
8 P 0.838 0.092 0.333
9 S 0.163 0.336 0.337
10 S 0.336 0.163 0.837
11 O 0.008 0.315 0.179
12 O 0.077 0.656 0.799
13 O 0.116 0.816 0.675
14 O 0.133 0.362 0.491
15 O 0.165 0.324 0.808
16 O 0.208 0.484 0.363
17 O 0.268 0.870 0.997
18 O 0.315 0.008 0.679
19 O 0.324 0.165 0.308
20 O 0.362 0.133 0.991
21 O 0.422 0.709 0.373
22 O 0.484 0.208 0.863
23 O 0.495 0.614 0.676
24 O 0.576 0.823 0.309
25 O 0.614 0.495 0.176
26 O 0.618 0.764 0.000
27 O 0.656 0.077 0.299
28 O 0.709 0.422 0.873
29 O 0.764 0.618 0.500
30 O 0.816 0.116 0.175
31 O 0.823 0.576 0.809
32 O 0.870 0.268 0.497
33 O 0.926 0.990 0.872
34 O 0.990 0.926 0.372